[1]
Simulated powder diffractogram of LaHfMg14 for Cu Kα, 1.54184 Å, from the GGA-PBE geometry in the Materials Project.
Neutral-atom scattering factors, no anomalous dispersion.

Structural model:
```
LaHfMg14
1.0
6.5910 0.0000 0.0000
-3.2955 5.7080 0.0000
0.0000 0.0000 10.2177
La Hf Mg
1 1 14
Cartesian
0.0000 0.0000 0.0000
0.0000 0.0000 5.1089
-1.6424 2.8571 5.1089
-1.6010 2.8810 0.0000
0.0000 1.9257 2.6485
0.0000 1.9257 7.5692
-1.6278 4.7451 2.6485
-1.6278 4.7451 7.5692
1.6010 2.8810 0.0000
0.0000 5.6540 0.0000
1.6424 2.8571 5.1089
0.0000 5.7018 5.1089
1.6278 4.7451 2.6485
1.6278 4.7451 7.5692
3.2955 1.9027 2.5180
3.2955 1.9027 7.6998
```

Principal peaks in the range 15 to 90 degrees two-theta, by angle:
- 2θ 15.52, rel. 72
- 2θ 23.37, rel. 59
- 2θ 31.34, rel. 34
- 2θ 32.33, rel. 25
- 2θ 35.13, rel. 23
- 2θ 36.05, rel. 100
- 2θ 47.79, rel. 25
- 2θ 55.78, rel. 29

=====

[2]
Simulated powder diffractogram of LaHfMg6O8 for Cu Kα, 1.54184 Å, from the GGA-PBE geometry in the Materials Project.
Neutral-atom scattering factors, no anomalous dispersion.

Structural model:
```
LaHfMg6O8
1.0
4.5527 0.0000 0.0000
0.0000 4.5527 0.0000
0.0000 0.0000 9.0778
La Hf Mg O
1 1 6 8
Cartesian
0.0000 0.0000 0.0000
2.2763 2.2763 0.0000
0.0000 0.0000 4.5389
0.0000 2.2763 2.4739
0.0000 2.2763 6.6040
2.2763 0.0000 2.4739
2.2763 0.0000 6.6040
2.2763 2.2763 4.5389
0.0000 0.0000 2.5163
0.0000 0.0000 6.5615
0.0000 2.2763 0.0000
0.0000 2.2763 4.5389
2.2763 0.0000 0.0000
2.2763 0.0000 4.5389
2.2763 2.2763 2.3693
2.2763 2.2763 6.7086
```

Principal peaks in the range 15 to 90 degrees two-theta, by angle:
- 2θ 19.56, rel. 51
- 2θ 27.71, rel. 42
- 2θ 29.46, rel. 100
- 2θ 34.15, rel. 76
- 2θ 39.59, rel. 82
- 2θ 39.72, rel. 37
- 2θ 40.90, rel. 49
- 2θ 57.29, rel. 73

=====

[3]
Simulated powder diffractogram of LaHfMg14O16 for Cu Kα, 1.54184 Å, from the GGA-PBE geometry in the Materials Project.
Neutral-atom scattering factors, no anomalous dispersion.

Structural model:
```
LaHfMg14O16
1.0
4.4508 0.0000 0.0000
0.0000 8.8605 0.0000
0.0000 0.0000 8.9079
La Hf Mg O
1 1 14 16
Cartesian
0.0000 0.0000 0.0000
0.0000 0.0000 4.4540
0.0000 2.3431 2.2643
0.0000 2.3431 6.6436
0.0000 4.4303 0.0000
0.0000 4.4303 4.4540
0.0000 6.5175 2.2643
0.0000 6.5175 6.6436
2.2254 0.0000 2.3075
2.2254 0.0000 6.6005
2.2254 2.3014 4.4540
2.2254 2.3849 0.0000
2.2254 4.4303 2.2491
2.2254 4.4303 6.6588
2.2254 6.4756 0.0000
2.2254 6.5591 4.4540
0.0000 0.0000 2.3555
0.0000 0.0000 6.5524
0.0000 2.2827 4.4540
0.0000 2.4168 0.0000
0.0000 4.4303 2.2690
0.0000 4.4303 6.6390
0.0000 6.4437 0.0000
0.0000 6.5778 4.4540
2.2254 0.0000 0.0000
2.2254 0.0000 4.4540
2.2254 2.2269 2.2225
2.2254 2.2269 6.6854
2.2254 4.4303 0.0000
2.2254 4.4303 4.4540
2.2254 6.6336 2.2225
2.2254 6.6336 6.6854
```

Principal peaks in the range 15 to 90 degrees two-theta, by angle:
- 2θ 19.94, rel. 48
- 2θ 22.35, rel. 72
- 2θ 28.40, rel. 62
- 2θ 30.13, rel. 39
- 2θ 34.96, rel. 57
- 2θ 40.52, rel. 100
- 2θ 40.73, rel. 47
- 2θ 58.81, rel. 58

=====

[4]
Simulated powder diffractogram of LaHfMg14O16 for Cu Kα, 1.54184 Å, from the GGA-PBE geometry in the Materials Project.
Neutral-atom scattering factors, no anomalous dispersion.

Structural model:
```
LaHfMg14O16
1.0
8.8924 0.0000 0.0000
0.0000 8.8924 0.0000
0.0000 0.0000 4.4192
La Hf Mg O
1 1 14 16
Cartesian
0.0000 0.0000 0.0000
4.4462 4.4462 0.0000
0.0000 2.3818 2.2096
0.0000 4.4462 0.0000
0.0000 6.5105 2.2096
2.1760 4.4462 2.2096
2.2917 2.2917 0.0000
2.2917 6.6007 0.0000
2.3818 0.0000 2.2096
4.4462 0.0000 0.0000
4.4462 2.1760 2.2096
4.4462 6.7163 2.2096
6.5105 0.0000 2.2096
6.6007 2.2917 0.0000
6.6007 6.6007 0.0000
6.7163 4.4462 2.2096
0.0000 0.0000 2.2096
0.0000 2.3853 0.0000
0.0000 4.4462 2.2096
0.0000 6.5071 0.0000
2.1385 4.4462 0.0000
2.2050 2.2050 2.2096
2.2050 6.6874 2.2096
2.3853 0.0000 0.0000
4.4462 0.0000 2.2096
4.4462 2.1385 0.0000
4.4462 4.4462 2.2096
4.4462 6.7539 0.0000
6.5071 0.0000 0.0000
6.6874 2.2050 2.2096
6.6874 6.6874 2.2096
6.7539 4.4462 0.0000
```

Principal peaks in the range 15 to 90 degrees two-theta, by angle:
- 2θ 19.97, rel. 51
- 2θ 24.62, rel. 61
- 2θ 28.45, rel. 64
- 2θ 35.03, rel. 59
- 2θ 37.92, rel. 38
- 2θ 40.58, rel. 100
- 2θ 40.84, rel. 50
- 2θ 58.93, rel. 60

=====

[5]
Simulated powder diffractogram of LaHfMg6O8 for Cu Kα, 1.54184 Å, from the GGA-PBE geometry in the Materials Project.
Neutral-atom scattering factors, no anomalous dispersion.

Structural model:
```
LaHfMg6O8
1.0
4.5915 0.0000 0.0000
0.0000 4.5915 0.0000
0.0000 0.0000 9.1660
La Hf Mg O
1 1 6 8
Cartesian
0.0000 0.0000 0.0000
0.0000 0.0000 4.5830
0.0000 2.2957 2.3907
0.0000 2.2957 6.7753
2.2957 0.0000 2.3907
2.2957 0.0000 6.7753
2.2957 2.2957 0.0000
2.2957 2.2957 4.5830
0.0000 0.0000 2.4469
0.0000 0.0000 6.7191
0.0000 2.2957 0.0000
0.0000 2.2957 4.5830
2.2957 0.0000 0.0000
2.2957 0.0000 4.5830
2.2957 2.2957 2.2687
2.2957 2.2957 6.8973
```

Principal peaks in the range 15 to 90 degrees two-theta, by angle:
- 2θ 19.34, rel. 100
- 2θ 27.49, rel. 86
- 2θ 33.84, rel. 54
- 2θ 39.27, rel. 87
- 2θ 44.13, rel. 48
- 2θ 48.60, rel. 37
- 2θ 56.74, rel. 54
- 2θ 60.53, rel. 22

=====

[6]
Simulated powder diffractogram of NaLaHf2O6 for Cu Kα, 1.54184 Å, from the GGA-PBE geometry in the Materials Project.
Neutral-atom scattering factors, no anomalous dispersion.

Structural model:
```
NaLaHf2O6
1.0
0.0000 4.1069 4.1069
4.1069 0.0000 4.1069
4.1069 4.1069 0.0000
Na La Hf O
1 1 2 6
Cartesian
0.0000 0.0000 0.0000
4.1069 4.1069 4.1069
2.0535 2.0535 2.0535
6.1604 6.1604 6.1604
2.0535 2.0535 0.0000
2.0535 0.0000 2.0535
4.1069 2.0535 2.0535
0.0000 2.0535 2.0535
2.0535 4.1069 2.0535
2.0535 2.0535 4.1069
```

Principal peaks in the range 15 to 90 degrees two-theta, by angle:
- 2θ 18.71, rel. 12
- 2θ 21.64, rel. 27
- 2θ 30.79, rel. 100
- 2θ 44.10, rel. 30
- 2θ 54.75, rel. 41
- 2θ 64.14, rel. 19
- 2θ 72.83, rel. 18
- 2θ 89.23, rel. 22